Entry 1:
For PrDy2YSe6, a GGA-PBE-relaxed structure gives the simulated XRD peak list in this record (copper Kα).
Lines closer than 0.1° are merged.

Peak list (8 most intense, 2θ from 15° to 90°, low angle first)
- (0 1 2), d 5.306, 2θ = 16.71°, rel. 49
- (1 0 4), d 3.865, 2θ = 23.01°, rel. 56
- (1 1 0), d 3.649, 2θ = 24.40°, rel. 34
- (1 1 3), d 3.183, 2θ = 28.03°, rel. 73
- (0 2 4), d 2.653, 2θ = 33.78°, rel. 42
- (2 -1 6), d 2.430, 2θ = 37.00°, rel. 100
- (3 -1 4), d 2.146, 2θ = 42.11°, rel. 36
- (3 0 0), d 2.106, 2θ = 42.94°, rel. 67

Atomic structure:
```
data_PrDy2YSe6
_cell_length_a 7.2970
_cell_length_b 7.2970
_cell_length_c 19.5422
_cell_angle_alpha 90.00
_cell_angle_beta 90.00
_cell_angle_gamma 120.00
_space_group_name_H-M_alt 'R 3'
_space_group_IT_number 146
_space_group_name_Hall 'R 3'
loop_
_atom_site_label
_atom_site_type_symbol
_atom_site_fract_x
_atom_site_fract_y
_atom_site_fract_z
Pr1 Pr 0.0000 0.0000 0.0000
Dy1 Dy 0.0000 0.0000 0.2962
Dy2 Dy 0.0000 0.0000 0.8000
Y1 Y 0.0000 0.0000 0.4940
Se1 Se 0.0036 0.3092 0.8943
Se2 Se 0.0215 0.7134 0.3947
```

=====

Entry 2:
For PrDy2Si6, a GGA-PBE-relaxed structure gives the simulated XRD peak list in this record (copper Kα).
Lines closer than 0.1° are merged.

Peak list (8 most intense, 2θ from 15° to 90°, low angle first)
- (0 0 1), d 4.023, 2θ = 22.10°, rel. 12
- (1 1 0), d 3.568, 2θ = 24.95°, rel. 49
- (1 1 1), d 2.669, 2θ = 33.57°, rel. 100
- (3 0 0), d 2.060, 2θ = 43.95°, rel. 31
- (1 1 2), d 1.752, 2θ = 52.20°, rel. 14
- (2 2 1), d 1.631, 2θ = 56.42°, rel. 22
- (3 0 2), d 1.439, 2θ = 64.78°, rel. 20
- (4 1 1), d 1.279, 2θ = 74.15°, rel. 20

Atomic structure:
```
data_PrDy2Si6
_cell_length_a 7.1366
_cell_length_b 7.1366
_cell_length_c 4.0228
_cell_angle_alpha 90.00
_cell_angle_beta 90.00
_cell_angle_gamma 120.00
_space_group_name_H-M_alt 'P 6/m m m'
_space_group_IT_number 191
_space_group_name_Hall '-P 6 2'
loop_
_atom_site_label
_atom_site_type_symbol
_atom_site_fract_x
_atom_site_fract_y
_atom_site_fract_z
Pr1 Pr 0.0000 0.0000 0.0000
Dy1 Dy 0.3333 0.6667 0.0000
Si1 Si 0.0000 0.3365 0.5000
```

=====

Entry 3:
For Pr3Dy3Si4, a GGA-PBE-relaxed structure gives the simulated XRD peak list in this record (copper Kα).
Lines closer than 0.1° are merged.

Peak list (8 most intense, 2θ from 15° to 90°, low angle first)
- (1 2 0), d 3.404, 2θ = 26.18°, rel. 23
- (1 0 2), d 3.385, 2θ = 26.33°, rel. 39
- (1 2 2), d 2.871, 2θ = 31.15°, rel. 100
- (1 3 1), d 2.696, 2θ = 33.24°, rel. 41
- (0 0 4), d 2.676, 2θ = 33.49°, rel. 54
- (0 4 2), d 2.416, 2θ = 37.21°, rel. 25
- (0 2 4), d 2.397, 2θ = 37.53°, rel. 25
- (2 0 0), d 2.188, 2θ = 41.26°, rel. 25

Atomic structure:
```
data_Pr3Dy3Si4
_cell_length_a 4.3756
_cell_length_b 10.8365
_cell_length_c 10.6888
_cell_angle_alpha 90.00
_cell_angle_beta 90.00
_cell_angle_gamma 90.00
_space_group_name_H-M_alt 'A m m 2'
_space_group_IT_number 38
_space_group_name_Hall 'A 2 -2'
loop_
_atom_site_label
_atom_site_type_symbol
_atom_site_fract_x
_atom_site_fract_y
_atom_site_fract_z
Pr1 Pr 0.0000 0.0000 0.0000
Pr2 Pr 0.0000 0.1780 0.6736
Dy1 Dy 0.0000 0.0000 0.3527
Dy2 Dy 0.5000 0.2490 0.9254
Si1 Si 0.5000 0.0000 0.5549
Si2 Si 0.5000 0.0000 0.7861
Si3 Si 0.5000 0.1127 0.1810
```

=====

Entry 4:
For Pr4Sm8Dy3, a GGA-PBE-relaxed structure gives the simulated XRD peak list in this record (copper Kα).
Lines closer than 0.1° are merged.

Peak list (8 most intense, 2θ from 15° to 90°, low angle first)
- (0 2 1), d 3.043, 2θ = 29.35°, rel. 25
- (0 0 12), d 3.013, 2θ = 29.65°, rel. 67
- (0 2 4), d 2.893, 2θ = 30.90°, rel. 100
- (2 0 8), d 2.531, 2θ = 35.47°, rel. 73
- (0 2 16), d 1.817, 2θ = 50.23°, rel. 27
- (2 2 0), d 1.763, 2θ = 51.85°, rel. 37
- (2 2 12), d 1.522, 2θ = 60.87°, rel. 45
- (2 2 24), d 1.145, 2θ = 84.62°, rel. 28

Atomic structure:
```
data_Pr4Sm8Dy3
_cell_length_a 7.0533
_cell_length_b 7.0533
_cell_length_c 36.1557
_cell_angle_alpha 90.00
_cell_angle_beta 90.00
_cell_angle_gamma 120.00
_space_group_name_H-M_alt 'R -3 m'
_space_group_IT_number 166
_space_group_name_Hall '-R 3 2"'
loop_
_atom_site_label
_atom_site_type_symbol
_atom_site_fract_x
_atom_site_fract_y
_atom_site_fract_z
Pr1 Pr 0.0000 0.0000 0.0000
Pr2 Pr 0.0000 0.0000 0.1636
Pr3 Pr 0.0000 0.0000 0.5000
Sm1 Sm 0.0000 0.0000 0.2548
Sm2 Sm 0.0017 0.5009 0.2515
Dy1 Dy 0.0000 0.5000 0.0000
```